(1)
This entry pairs a crystal structure of Ac4SnSb3 with its theoretical X-ray powder pattern. Radiation: Cu Ka. Structure: a DFT-relaxed cell (GGA-PBE, Alexandria).
Intensities are scaled so that the largest is 100.

Main lines, by intensity (2θ = 10–90°):
hkl 2 0 0, 3.399 Å, rel. 100.0; hkl 2 2 0, 2.404 Å, rel. 79.6; hkl 4 2 0, 1.520 Å, rel. 39.1; hkl 2 2 2, 1.963 Å, rel. 29.3; hkl 4 2 2, 1.388 Å, rel. 28.9; hkl 6 0 0, 1.133 Å, rel. 19.6; hkl 1 1 1, 3.925 Å, rel. 15.4; hkl 4 0 0, 1.700 Å, rel. 14.0; hkl 4 4 0, 1.202 Å, rel. 9.2; hkl 3 1 1, 2.050 Å, rel. 8.7

Atomic structure:
Cell lengths 6.799, 6.799, 6.799 Å; angles 90.00, 90.00, 90.00 degrees
Space group Pm-3m (No. 221)
Asymmetric unit:
1 Ac 0.000 0.000 0.000
2 Ac 0.000 0.500 0.500
3 Sn 0.500 0.500 0.500
4 Sb 0.000 0.000 0.500

***

(2)
This entry pairs a crystal structure of AgAsICl2 with its theoretical X-ray powder pattern. Radiation: Cu Ka. Structure: a DFT-relaxed cell (GGA-PBE, Alexandria).
Intensities are scaled so that the largest is 100.

Main lines, by intensity (2θ = 10–90°):
hkl 1 1 1, 3.021 Å, rel. 100.0; hkl 2 0 0, 2.495 Å, rel. 80.2; hkl 1 1 0, 3.529 Å, rel. 79.4; hkl 2 0 2, 1.898 Å, rel. 68.4; hkl 0 0 2, 2.923 Å, rel. 63.1; hkl 1 1 2, 2.251 Å, rel. 48.1; hkl 2 2 2, 1.511 Å, rel. 31.6; hkl 2 2 0, 1.765 Å, rel. 26.9; hkl 1 0 0, 4.991 Å, rel. 26.5; hkl 3 1 1, 1.524 Å, rel. 22.6

Atomic structure:
Cell lengths 4.991, 4.991, 5.845 Å; angles 90.00, 90.00, 90.00 degrees
Space group P4/mmm (No. 123)
Asymmetric unit:
1 Ag 0.000 0.000 0.000
2 As 0.500 0.500 0.500
3 I 0.500 0.500 0.000
4 Cl 0.000 0.500 0.500

***

(3)
This entry pairs a crystal structure of PaTa2ReC4 with its theoretical X-ray powder pattern. Radiation: Cu Ka. Structure: a DFT-relaxed cell (GGA-PBE, Alexandria).
Intensities are scaled so that the largest is 100.

Main lines, by intensity (2θ = 10–90°):
hkl 1 1 2, 2.716 Å, rel. 100.0; hkl 1 3 2, 2.257 Å, rel. 71.4; hkl 0 0 4, 2.776 Å, rel. 54.5; hkl 0 4 0, 2.867 Å, rel. 53.8; hkl 0 4 4, 1.995 Å, rel. 26.3; hkl 0 2 3, 3.110 Å, rel. 23.7; hkl 1 5 2, 1.773 Å, rel. 20.5; hkl 1 3 1, 2.411 Å, rel. 19.3; hkl 1 3 5, 1.652 Å, rel. 15.8; hkl 2 0 0, 1.618 Å, rel. 15.0

Atomic structure:
Cell lengths 3.236, 11.469, 11.106 Å; angles 90.00, 90.00, 90.00 degrees
Space group Cmcm (No. 63)
Asymmetric unit:
1 Pa 0.000 0.106 0.250
2 Ta 0.000 0.373 0.038
3 Re 0.000 0.156 0.750
4 C 0.000 0.000 0.000
5 C 0.000 0.268 0.615
6 C 0.000 0.450 0.250